Structure and theoretical PXRD pattern of LuB4Rh4 (a PBE-relaxed structure; copper Kα).
Neutral-atom scattering factors, no anomalous dispersion.

Structural model:
```
data_LuB4Rh4
_symmetry_space_group_name_H-M 'P 42/n m c'
_symmetry_Int_Tables_number 137
_cell_length_a 5.3257
_cell_length_b 5.3257
_cell_length_c 7.4202
_cell_angle_alpha 90.00
_cell_angle_beta 90.00
_cell_angle_gamma 90.00
loop_
_symmetry_equiv_pos_as_xyz
'x,y,z'
'-x,-y,-z'
'-y+1/2,x,z+1/2'
'y+1/2,-x,-z+1/2'
'-x+1/2,-y+1/2,z'
'x+1/2,y+1/2,-z'
'y,-x+1/2,z+1/2'
'-y,x+1/2,-z+1/2'
'x+1/2,-y,-z'
'-x+1/2,y,z'
'-y,-x,-z+1/2'
'y,x,z+1/2'
'-x,y+1/2,-z'
'x,-y+1/2,z'
'y+1/2,x+1/2,-z+1/2'
'-y+1/2,-x+1/2,z+1/2'
loop_
_atom_site_label
_atom_site_fract_x
_atom_site_fract_y
_atom_site_fract_z
Lu1 0.2500 0.7500 0.2500
B1 0.0813 0.2500 0.1005
Rh1 0.0009 0.7500 0.6041
```

Largest 10 diffraction maxima, sorted by position, 2θ from 5° to 70°:
| 2θ (°) | Rel. int. | h k l |
| --- | --- | --- |
| 23.6 | 25 | 1 1 0 |
| 29.3 | 38 | 1 0 2 |
| 33.9 | 25 | 1 1 2 |
| 35.8 | 69 | 2 0 1 |
| 39.7 | 100 | 2 1 1 |
| 40.2 | 72 | 1 0 3 |
| 45.2 | 30 | 2 1 2 |
| 54.7 | 17 | 2 2 2 |
| 64.3 | 23 | 3 2 1 |
| 64.6 | 19 | 3 0 3 |